(1)
The following is a theoretical powder diffractogram of BaCu2Ge2O7. It was derived from a structure optimized by DFT (PBE), using λ = 1.5418 Å (Cu Kα).

Atomic structure:
Cell: 7.1623 13.3656 7.2081 Å, 90.00 90.00 90.00°
Fractional coordinates of all 48 atoms:
Ba1 0.0240 0.2500 0.0497
Ba2 0.4760 0.7500 0.5497
Ba3 0.5240 0.2500 0.4503
Ba4 0.9760 0.7500 0.9503
Cu1 0.2145 0.5058 0.7982
Cu2 0.2145 0.9942 0.7982
Cu3 0.2855 0.0058 0.2982
Cu4 0.2855 0.4942 0.2982
Cu5 0.7145 0.5058 0.7018
Cu6 0.7145 0.9942 0.7018
Cu7 0.7855 0.0058 0.2018
Cu8 0.7855 0.4942 0.2018
Ge1 0.0118 0.1284 0.5275
Ge2 0.0118 0.3716 0.5275
Ge3 0.4882 0.6284 0.0275
Ge4 0.4882 0.8716 0.0275
Ge5 0.5118 0.1284 0.9725
Ge6 0.5118 0.3716 0.9725
Ge7 0.9882 0.6284 0.4725
Ge8 0.9882 0.8716 0.4725
O1 0.0779 0.1154 0.7616
O2 0.0779 0.3846 0.7616
O3 0.1010 0.7500 0.4938
O4 0.1782 0.5452 0.5350
O5 0.1782 0.9548 0.5350
O6 0.1891 0.1359 0.3555
O7 0.1891 0.3641 0.3555
O8 0.3109 0.6359 0.8555
O9 0.3109 0.8641 0.8555
O10 0.3218 0.0452 0.0350
O11 0.3218 0.4548 0.0350
O12 0.3990 0.2500 0.9938
O13 0.4221 0.6154 0.2616
O14 0.4221 0.8846 0.2616
O15 0.5779 0.1154 0.7384
O16 0.5779 0.3846 0.7384
O17 0.6010 0.7500 0.0062
O18 0.6782 0.5452 0.9650
O19 0.6782 0.9548 0.9650
O20 0.6891 0.1359 0.1445
O21 0.6891 0.3641 0.1445
O22 0.8109 0.6359 0.6445
O23 0.8109 0.8641 0.6445
O24 0.8218 0.0452 0.4650
O25 0.8218 0.4548 0.4650
O26 0.8990 0.2500 0.5062
O27 0.9221 0.6154 0.2384
O28 0.9221 0.8846 0.2384

Main lines, low angle first (10 to 80 degrees two-theta):
(1 2 1), 22.0 deg, d = 4.045 Å, intensity 40.5
(0 2 2), 28.1 deg, d = 3.172 Å, intensity 48.4
(2 2 0), 28.3 deg, d = 3.157 Å, intensity 74.2
(1 1 2), 28.5 deg, d = 3.130 Å, intensity 19.3
(1 4 1), 32.1 deg, d = 2.792 Å, intensity 100.0
(2 0 2), 35.3 deg, d = 2.540 Å, intensity 55.2
(2 6 0), 48.1 deg, d = 1.893 Å, intensity 23.1
(3 4 1), 48.5 deg, d = 1.876 Å, intensity 23.5
(3 4 3), 61.4 deg, d = 1.511 Å, intensity 19.1
(2 8 2), 67.0 deg, d = 1.396 Å, intensity 19.1



(2)
The following is a theoretical powder diffractogram of CaCuAs2O7. It was derived from a structure optimized by DFT (PBE), using λ = 1.5418 Å (Cu Kα).

Atomic structure:
Cell: 7.3378 9.0620 9.4547 Å, 90.00 109.25 90.00°
Fractional coordinates of all 44 atoms:
Ca1 0.2474 0.0658 0.4378
Ca2 0.2474 0.4342 0.9378
Ca3 0.7526 0.5658 0.0622
Ca4 0.7526 0.9342 0.5622
Cu1 0.2171 0.0511 0.8208
Cu2 0.2171 0.4489 0.3208
Cu3 0.7829 0.5511 0.6792
Cu4 0.7829 0.9489 0.1792
As1 0.0250 0.6996 0.4587
As2 0.0250 0.8004 0.9587
As3 0.4213 0.7374 0.7380
As4 0.4213 0.7626 0.2380
As5 0.5787 0.2374 0.7620
As6 0.5787 0.2626 0.2620
As7 0.9750 0.1996 0.0413
As8 0.9750 0.3004 0.5413
O1 0.0061 0.5868 0.3090
O2 0.0061 0.9132 0.8090
O3 0.0136 0.6187 0.9166
O4 0.0136 0.8813 0.4166
O5 0.1529 0.1820 0.9618
O6 0.1529 0.3180 0.4618
O7 0.2513 0.6379 0.5853
O8 0.2513 0.8621 0.0853
O9 0.3503 0.5815 0.2211
O10 0.3503 0.9185 0.7211
O11 0.3653 0.2300 0.7991
O12 0.3653 0.2700 0.2991
O13 0.4309 0.6392 0.8933
O14 0.4309 0.8608 0.3933
O15 0.5691 0.1392 0.6067
O16 0.5691 0.3608 0.1067
O17 0.6347 0.7300 0.7009
O18 0.6347 0.7700 0.2009
O19 0.6497 0.0815 0.2789
O20 0.6497 0.4185 0.7789
O21 0.7487 0.1379 0.9147
O22 0.7487 0.3621 0.4147
O23 0.8471 0.6820 0.5382
O24 0.8471 0.8180 0.0382
O25 0.9864 0.1187 0.5834
O26 0.9864 0.3813 0.0834
O27 0.9939 0.0868 0.1910
O28 0.9939 0.4132 0.6910

Main lines, low angle first (10 to 80 degrees two-theta):
(0 2 0), 19.6 deg, d = 4.531 Å, intensity 16.3
(1 1 1), 21.1 deg, d = 4.217 Å, intensity 37.9
(1 0 2), 27.1 deg, d = 3.290 Å, intensity 79.4
(1 2 -2), 28.0 deg, d = 3.188 Å, intensity 100.0
(2 1 -2), 28.7 deg, d = 3.115 Å, intensity 68.6
(1 3 0), 32.3 deg, d = 2.769 Å, intensity 16.7
(2 2 0), 32.5 deg, d = 2.751 Å, intensity 71.5
(3 1 0), 40.3 deg, d = 2.238 Å, intensity 22.9
(3 1 -4), 47.5 deg, d = 1.916 Å, intensity 18.6
(4 3 -2), 59.0 deg, d = 1.565 Å, intensity 15.9